This entry pairs a crystal structure of NaCoCu2Cl6 with its computed powder diffractogram. Radiation: a wavelength of 1.5418 Å. Structure: a PBE-relaxed structure.

Structural model:
abc: 7.153 7.153 7.153
angles: 52.79 52.79 52.79
Sites, in units of the cell vectors:
Na 0.000 0.000 0.000
Co 0.500 0.500 0.500
Cu 0.232 0.232 0.232
Cu 0.768 0.768 0.768
Cl 0.129 0.436 0.716
Cl 0.284 0.871 0.564
Cl 0.436 0.716 0.129
Cl 0.564 0.284 0.871
Cl 0.716 0.129 0.436
Cl 0.871 0.564 0.284

Largest 10 diffraction maxima, in order of rising 2θ, 2θ = 5–70°:
2θ/deg	I/Imax
14.43	469
16.80	200
25.21	1000
28.06	266
29.11	329
31.69	862
38.08	342
47.96	416
49.66	519
59.91	153

This entry pairs a crystal structure of Sr2ErS3 with its computed powder diffractogram. Radiation: a wavelength of 1.5418 Å. Structure: a PBE-relaxed structure.

Structural model:
abc: 13.623 12.989 7.145
angles: 79.39 69.57 31.03
Sites, in units of the cell vectors:
Sr 0.043 0.043 0.207
Sr 0.123 0.123 0.627
Sr 0.207 0.207 0.043
Sr 0.373 0.373 0.877
Sr 0.627 0.627 0.123
Sr 0.793 0.793 0.957
Sr 0.877 0.877 0.373
Sr 0.957 0.957 0.793
Er 0.292 0.292 0.458
Er 0.458 0.458 0.292
Er 0.542 0.542 0.708
Er 0.708 0.708 0.542
S 0.038 0.538 0.233
S 0.147 0.603 0.603
S 0.233 0.692 0.038
S 0.308 0.767 0.462
S 0.397 0.853 0.853
S 0.462 0.962 0.308
S 0.538 0.038 0.692
S 0.603 0.147 0.147
S 0.692 0.233 0.538
S 0.767 0.308 0.962
S 0.853 0.397 0.397
S 0.962 0.462 0.767

Largest 10 diffraction maxima, in order of rising 2θ, 2θ = 5–70°:
2θ/deg	I/Imax
13.61	132
26.43	290
26.56	283
30.69	1000
43.80	119
43.95	476
51.98	153
52.14	148
54.43	126
54.70	122

This entry pairs a crystal structure of Pu3Ge8Rh3 with its computed powder diffractogram. Radiation: a wavelength of 1.5418 Å. Structure: a PBE-relaxed structure.

Structural model:
abc: 8.264 8.264 8.264
angles: 150.81 102.62 84.75
Sites, in units of the cell vectors:
Pu 0.000 0.000 0.000
Pu 0.309 0.309 0.000
Pu 0.691 0.691 0.000
Ge 0.028 0.656 0.372
Ge 0.172 0.875 0.297
Ge 0.284 0.656 0.628
Ge 0.422 0.125 0.297
Ge 0.578 0.875 0.703
Ge 0.716 0.344 0.372
Ge 0.828 0.125 0.703
Ge 0.972 0.344 0.628
Rh 0.293 0.500 0.793
Rh 0.500 0.000 0.500
Rh 0.707 0.500 0.207

Largest 10 diffraction maxima, in order of rising 2θ, 2θ = 5–70°:
2θ/deg	I/Imax
23.02	146
30.71	233
33.77	376
34.11	356
35.39	1000
36.93	153
37.55	150
43.45	305
44.50	202
56.36	186

This entry pairs a crystal structure of K2Pb6Au3 with its computed powder diffractogram. Radiation: a wavelength of 1.5418 Å. Structure: a PBE-relaxed structure.

Structural model:
abc: 8.910 8.910 5.037
angles: 90.00 90.00 120.00
Sites, in units of the cell vectors:
K 0.333 0.667 0.000
K 0.667 0.333 0.000
Pb 0.000 0.210 0.000
Pb 0.000 0.692 0.500
Pb 0.210 0.000 0.000
Pb 0.308 0.308 0.500
Pb 0.692 0.000 0.500
Pb 0.790 0.790 0.000
Au 0.000 0.374 0.500
Au 0.374 0.000 0.500
Au 0.626 0.626 0.500

Largest 10 diffraction maxima, in order of rising 2θ, 2θ = 5–70°:
2θ/deg	I/Imax
11.47	200
19.93	409
21.06	147
26.72	475
34.88	297
35.60	1000
39.33	421
50.73	228
55.02	157
57.73	201